Computed powder diffractogram of Pr3UTl3S8 for copper Kα, from a cell relaxed with PBE.
Lines closer than 0.1° are merged.

Most intense lines, 10° ≤ 2θ ≤ 90°, by intensity:
2θ/deg  I (rel.)
29.34  100
25.90  59
40.50  38
43.41  38
12.87  27
23.58  27
49.99  23
53.26  19
47.40  16
71.06  16
66.89  15
60.87  11

Structural model:
```
Pr3UTl3S8
1.0
4.1690 2.4070 7.5470
-4.1690 2.4070 7.5470
0.0000 -4.8139 7.5470
Pr U Tl S
3 1 3 8
Cartesian
-2.0845 -1.2035 7.5470
-2.0845 1.2035 15.0939
0.0000 2.4070 7.5470
0.0000 0.0000 0.0000
-4.1690 0.0000 11.3204
-2.0845 1.2035 3.7735
2.0845 1.2035 3.7735
0.0000 -2.5376 9.0229
-2.1976 1.2688 9.0229
-2.1976 -1.2688 13.6180
0.0000 0.0000 5.9963
0.0000 0.0000 16.6446
2.1976 1.2688 9.0230
2.1976 -1.2688 13.6180
0.0000 2.5376 13.6180
```

***

Computed powder diffractogram of TbFe9B4 for copper Kα, from a cell relaxed with PBE.
Lines closer than 0.1° are merged.

Most intense lines, 10° ≤ 2θ ≤ 90°, by intensity:
2θ/deg  I (rel.)
42.29  100
32.48  19
56.10  19
36.73  19
36.93  16
66.34  12
29.25  12
40.96  11
38.84  10
23.56  10
38.37  10
24.28  9

Structural model:
```
TbFe9B4
1.0
-3.6660 3.6660 5.5134
3.6660 -3.6660 5.5134
3.6660 3.6660 -5.5134
Tb Fe B
2 18 8
Cartesian
0.0000 0.0000 2.7560
0.0000 0.0000 8.2708
3.6660 0.0000 0.0000
4.5696 -1.0905 1.9603
1.4606 0.6178 0.0000
2.5755 -0.9036 3.5532
3.0482 -2.2054 5.5134
4.4574 2.2595 0.0000
2.7624 1.0905 1.9603
2.2595 2.8746 0.0000
4.7565 0.9036 3.5532
0.0000 3.6660 0.0000
-1.0905 2.7624 1.9603
1.4065 0.7914 5.5134
0.9036 2.5755 3.5532
-0.7914 1.4065 5.5134
0.6178 5.8714 0.0000
1.0905 4.5696 1.9603
2.2054 3.0482 5.5134
-0.9036 4.7565 3.5532
2.2946 -0.9438 1.4970
4.6098 -1.3714 4.0164
5.0374 0.9438 1.4970
0.9438 2.2946 1.4970
2.7222 1.3714 4.0164
-1.3714 2.7222 4.0164
-0.9438 5.0374 1.4970
1.3714 4.6098 4.0164
```

***

Computed powder diffractogram of BaLa3Pt for copper Kα, from a cell relaxed with PBE.
Lines closer than 0.1° are merged.

Most intense lines, 10° ≤ 2θ ≤ 90°, by intensity:
2θ/deg  I (rel.)
33.59  100
26.29  66
45.76  59
31.03  57
25.77  39
39.69  35
71.55  27
22.42  25
13.55  24
25.22  21
57.95  21
33.99  19

Structural model:
```
BaLa3Pt
1.0
3.9653 2.2894 7.0637
-3.9653 2.2894 7.0637
0.0000 -4.5787 7.0637
Ba La Pt
2 6 2
Cartesian
0.0000 0.0000 1.8598
0.0000 0.0000 19.3313
-1.9374 -1.1186 8.9611
0.0000 -2.2371 12.2300
-1.9374 1.1186 12.2300
1.9374 -1.1186 8.9611
0.0000 2.2371 8.9611
1.9374 1.1186 12.2300
0.0000 0.0000 7.0072
0.0000 0.0000 14.1839
```

***

Computed powder diffractogram of Ac6Pm3Dy2 for copper Kα, from a cell relaxed with PBE.
Lines closer than 0.1° are merged.

Most intense lines, 10° ≤ 2θ ≤ 90°, by intensity:
2θ/deg  I (rel.)
28.65  100
33.17  68
28.51  34
56.53  30
47.52  25
47.70  25
59.33  13
56.34  10
56.43  10
56.61  10
69.61  8
77.02  8

Structural model:
```
Ac6Pm3Dy2
1.0
6.6080 0.0000 0.0000
-2.1996 8.2448 0.0000
-1.1042 -2.9039 7.9590
Ac Pm Dy
6 3 2
Cartesian
-0.4845 0.3197 3.2125
-0.5627 3.8540 1.8503
0.5810 -0.3370 6.9227
2.7232 5.6779 1.0362
3.8669 1.4869 6.1087
3.7887 5.0212 4.7464
0.5140 3.3210 5.4567
2.7519 -1.4520 3.9795
2.7902 2.0199 2.5023
-0.5237 7.3955 0.3730
3.8278 -2.0546 7.5860
```

***

Computed powder diffractogram of Sm4SiIrBr2 for copper Kα, from a cell relaxed with PBE.
Lines closer than 0.1° are merged.

Most intense lines, 10° ≤ 2θ ≤ 90°, by intensity:
2θ/deg  I (rel.)
29.33  100
29.13  49
42.40  40
41.21  27
11.93  27
43.93  20
53.58  18
12.40  17
39.89  15
69.36  13
37.46  12
51.18  11

Structural model:
```
Sm4SiIrBr2
1.0
7.4749 0.0000 0.0000
0.0000 4.1218 0.0000
-2.3000 0.0000 7.4207
Sm Si Ir Br
4 1 1 2
Cartesian
1.2200 0.0000 1.4676
0.0551 2.0609 5.9335
5.1198 2.0609 1.4873
3.9549 0.0000 5.9531
3.7374 0.0000 0.0000
0.0000 2.0609 0.0000
-1.1500 0.0000 3.7104
2.5874 2.0609 3.7104
```

***

Computed powder diffractogram of ZnCrMo2 for copper Kα, from a cell relaxed with PBE.
Lines closer than 0.1° are merged.

Most intense lines, 10° ≤ 2θ ≤ 90°, by intensity:
2θ/deg  I (rel.)
41.34  100
42.19  24
41.83  23
76.55  15
60.92  14
76.06  14
89.82  10
58.86  8
75.04  8
74.80  8
20.57  7
35.46  4

Structural model:
```
ZnCrMo2
1.0
1.5690 -2.1419 0.0000
1.5690 2.1419 0.0000
0.0000 0.0000 8.6376
Zn Cr Mo
1 1 2
Cartesian
0.0000 0.0000 0.0000
0.0000 0.0000 4.3188
1.5690 0.0000 2.2555
1.5690 0.0000 6.3821
```